# PrZnPb
Theoretical XRD peak list, Cu Ka. Input: the GGA-PBE geometry in Alexandria.
Kinematic intensities with the Lorentz-polarization factor, no thermal factor.

Most intense lines, 15 to 90 degrees two-theta, by angle:
22.2 deg, 3.999 Å, intensity 28.0, hkl 0 0 1; 30.1 deg, 2.972 Å, intensity 24.1, hkl 2 2 -1; 31.1 deg, 2.880 Å, intensity 65.8, hkl 2 2 0; 32.0 deg, 2.799 Å, intensity 100.0, hkl 1 1 1; 35.8 deg, 2.507 Å, intensity 82.7, hkl 1 3 -1; 38.2 deg, 2.356 Å, intensity 37.6, hkl 2 0 -2; 48.1 deg, 1.891 Å, intensity 19.5, hkl 4 0 0; 50.0 deg, 1.823 Å, intensity 35.2, hkl 0 2 2; 60.9 deg, 1.522 Å, intensity 21.4, hkl 1 5 1; 61.4 deg, 1.510 Å, intensity 34.6, hkl 3 3 1; 63.0 deg, 1.475 Å, intensity 17.3, hkl 2 0 2; 67.5 deg, 1.388 Å, intensity 15.4, hkl 3 3 -3

Structure:
```
data_PrZnPb
_chemical_formula_sum 'Pr4 Zn4 Pb4'
_cell_length_a 8.911
_cell_length_b 8.883
_cell_length_c 4.712
_cell_angle_alpha 90.00
_cell_angle_beta 121.91
_cell_angle_gamma 90.00
_space_group_name_H-M_alt 'C 1 m 1'
_space_group_IT_number 8
_space_group_name_Hall 'C -2y'
loop_
_atom_site_label
_atom_site_type_symbol
_atom_site_fract_x
_atom_site_fract_y
_atom_site_fract_z
_atom_site_occupancy
Pr1 Pr 0.000 0.000 0.000 1
Pr2 Pr 0.005 0.500 0.504 1
Zn1 Zn 0.255 0.145 0.754 1
Pb1 Pb 0.252 0.316 0.251 1
```